This entry pairs a crystal structure of Li3NiO3 with its calculated PXRD pattern. Radiation: CuKα. Structure: DFT lattice parameters and positions (GGA+U).
Neutral-atom scattering factors, no anomalous dispersion.

Top 8 peaks for 10° ≤ 2θ ≤ 90°, sorted by position:
index, d/Å, I/Imax
1 1 0, 6.240, 53
1 2 0, 3.947, 39
0 1 1, 3.330, 100
1 1 1, 3.116, 31
0 4 0, 2.209, 24
4 0 0, 2.202, 27
0 0 2, 1.798, 15
4 5 1, 1.287, 15

```
Li3NiO3
1.0
8.8092 0.0000 0.0000
0.0000 8.8415 0.0000
0.0000 0.0000 3.5962
Li Ni O
12 4 12
Cartesian
0.9041 1.2660 0.0000
1.2237 7.9349 1.7981
1.4772 2.9265 1.7981
2.9274 7.3473 0.0000
3.1809 3.5141 0.0000
3.5005 5.6868 1.7981
5.3087 3.1548 1.7981
5.6283 5.3274 0.0000
5.8818 1.4943 0.0000
7.3320 5.9150 1.7981
7.5855 0.9066 1.7981
7.9050 7.5756 0.0000
1.0069 5.4061 0.0000
3.3977 0.9853 1.7981
5.4115 7.8562 1.7981
7.8023 3.4355 0.0000
0.9109 3.5515 0.0000
0.9883 7.2117 0.0000
1.5411 0.9839 1.7981
2.8635 5.4047 0.0000
3.4163 2.7909 1.7981
3.4937 7.9723 1.7981
5.3154 0.8693 1.7981
5.3929 6.0506 1.7981
5.9457 3.4369 0.0000
7.2681 7.8576 1.7981
7.8209 1.6298 0.0000
7.8983 5.2900 0.0000
```